No. 1
For Nd2CoSi2Os, a cell relaxed with GGA-PBE gives the simulated XRD peak list in this record (Cu Kα (weighted mean of Kα1 and Kα2)).
Neutral-atom scattering factors, no anomalous dispersion.

Most intense lines, 5° ≤ 2θ ≤ 70°, by intensity:
| two_theta | I_rel |
| --- | --- |
| 33.4 | 100 |
| 40.2 | 61 |
| 25.1 | 58 |
| 44.3 | 38 |
| 12.4 | 29 |
| 59.7 | 20 |
| 56.6 | 19 |
| 37.9 | 19 |

Structural model:
```
Nd2CoSi2Os
1.0
4.0881 0.0000 0.0000
0.0000 4.0881 0.0000
0.0000 0.0000 7.1136
Nd Co Si Os
2 1 2 1
Cartesian
0.0000 2.0441 1.2704
2.0441 0.0000 5.8432
2.0441 2.0441 3.5568
0.0000 2.0441 4.8014
2.0441 0.0000 2.3122
0.0000 0.0000 3.5568
```

---

No. 2
For NdCo5P3, a cell relaxed with GGA-PBE gives the simulated XRD peak list in this record (Cu Kα (weighted mean of Kα1 and Kα2)).
Neutral-atom scattering factors, no anomalous dispersion.

Most intense lines, 5° ≤ 2θ ≤ 70°, by intensity:
| two_theta | I_rel |
| --- | --- |
| 38.8 | 100 |
| 39.1 | 69 |
| 49.5 | 39 |
| 40.1 | 26 |
| 53.6 | 21 |
| 37.7 | 19 |
| 26.8 | 16 |
| 29.9 | 14 |

Structural model:
```
NdCo5P3
1.0
11.8153 0.0000 0.0000
0.0000 3.6842 0.0000
0.0000 0.0000 10.3733
Nd Co P
4 20 12
Cartesian
2.3894 0.9211 0.8641
3.5183 2.7632 6.0507
8.2970 0.9211 4.3226
9.4259 2.7632 9.5092
0.1214 2.7632 0.9792
0.1181 2.7632 7.4020
0.7953 2.7632 4.8606
2.0740 0.9211 8.0829
2.3273 0.9211 3.9633
3.5804 2.7632 9.1500
3.8337 2.7632 2.8962
5.1123 0.9211 10.0472
5.7896 0.9211 2.2153
5.7863 0.9211 6.1658
6.0290 2.7632 4.2075
6.0257 2.7632 8.1579
6.7030 2.7632 0.3260
7.9816 0.9211 7.4770
8.2349 0.9211 1.2233
9.4880 2.7632 6.4099
9.7413 2.7632 2.2904
11.0200 0.9211 5.5127
11.6972 0.9211 2.9713
11.6939 0.9211 9.3941
1.2682 2.7632 9.2803
1.2983 0.9211 6.0365
1.5334 2.7632 2.8531
4.3742 0.9211 8.0397
4.6093 2.7632 0.8499
4.6395 0.9211 4.0937
7.1758 2.7632 6.2796
7.2060 0.9211 9.5234
7.4411 2.7632 2.3335
10.2819 0.9211 7.5201
10.5170 2.7632 4.3368
10.5471 0.9211 1.0929
```

---

No. 3
For RbNdCoS3, a cell relaxed with GGA-PBE gives the simulated XRD peak list in this record (Cu Kα (weighted mean of Kα1 and Kα2)).
Neutral-atom scattering factors, no anomalous dispersion.

Most intense lines, 5° ≤ 2θ ≤ 70°, by intensity:
| two_theta | I_rel |
| --- | --- |
| 12.0 | 100 |
| 29.8 | 65 |
| 20.3 | 58 |
| 28.2 | 56 |
| 33.2 | 53 |
| 41.5 | 47 |
| 24.2 | 44 |
| 28.6 | 35 |

Structural model:
```
RbNdCoS3
1.0
10.8584 0.0000 0.0000
0.0000 4.0379 0.0000
0.0000 0.0000 14.6963
Rb Nd Co S
4 4 4 12
Cartesian
2.4895 1.0095 0.1532
2.9397 3.0284 7.5014
7.9187 1.0095 7.1949
8.3689 3.0284 14.5430
0.0970 3.0284 3.7788
5.3322 1.0095 11.1269
5.5262 3.0284 3.5693
10.7614 1.0095 10.9174
2.6040 3.0284 11.5170
2.8252 1.0095 4.1688
8.0332 3.0284 10.5274
8.2544 1.0095 3.1793
0.6949 3.0284 12.7249
1.0097 1.0095 5.5086
2.6442 1.0095 10.2279
2.7850 3.0284 2.8797
4.4195 3.0284 12.8567
4.7343 1.0095 5.3768
6.1241 3.0284 9.3195
6.4389 1.0095 1.8396
8.0734 1.0095 11.8165
8.2142 3.0284 4.4684
9.8487 3.0284 9.1877
10.1635 1.0095 1.9714
```

---

No. 4
For TbNdCo2Si4, a cell relaxed with GGA-PBE gives the simulated XRD peak list in this record (Cu Kα (weighted mean of Kα1 and Kα2)).
Neutral-atom scattering factors, no anomalous dispersion.

Most intense lines, 5° ≤ 2θ ≤ 70°, by intensity:
| two_theta | I_rel |
| --- | --- |
| 34.8 | 100 |
| 31.4 | 47 |
| 36.2 | 43 |
| 41.3 | 38 |
| 32.0 | 36 |
| 35.7 | 36 |
| 31.0 | 33 |
| 45.4 | 32 |

Structural model:
```
TbNdCo2Si4
1.0
4.2718 0.0000 0.0000
0.0000 3.9945 0.0000
-1.8180 0.0000 7.8448
Tb Nd Co Si
1 1 2 4
Cartesian
0.0000 0.0000 0.0000
0.0977 1.9972 3.1786
0.5448 1.9972 6.4374
2.0439 0.0000 4.6331
-0.0629 0.0000 5.4867
2.1633 1.9972 0.8537
2.2119 0.0000 2.3107
2.6437 1.9972 5.6105
```

---

No. 5
For NdCoSi2Tc, a cell relaxed with GGA-PBE gives the simulated XRD peak list in this record (Cu Kα (weighted mean of Kα1 and Kα2)).
Neutral-atom scattering factors, no anomalous dispersion.

Most intense lines, 5° ≤ 2θ ≤ 70°, by intensity:
| two_theta | I_rel |
| --- | --- |
| 35.6 | 100 |
| 34.8 | 45 |
| 23.3 | 41 |
| 43.7 | 41 |
| 57.0 | 21 |
| 65.0 | 20 |
| 58.1 | 17 |
| 36.4 | 17 |

Structural model:
```
NdCoSi2Tc
1.0
-2.0716 2.0716 4.9410
2.0716 -2.0716 4.9410
2.0716 2.0716 -4.9410
Nd Co Si Tc
1 1 2 1
Cartesian
0.0000 0.0000 0.0000
2.0716 0.0000 2.4705
0.0000 0.0000 3.6121
0.0000 0.0000 6.2699
0.0000 2.0716 2.4705
```

---

No. 6
For Nd3Co4Sn13, a cell relaxed with GGA-PBE gives the simulated XRD peak list in this record (Cu Kα (weighted mean of Kα1 and Kα2)).
Neutral-atom scattering factors, no anomalous dispersion.

Most intense lines, 5° ≤ 2θ ≤ 70°, by intensity:
| two_theta | I_rel |
| --- | --- |
| 33.5 | 100 |
| 34.8 | 36 |
| 37.3 | 18 |
| 59.1 | 17 |
| 55.6 | 14 |
| 38.5 | 12 |
| 46.2 | 12 |
| 68.1 | 11 |

Structural model:
```
Nd3Co4Sn13
1.0
9.6331 0.0000 0.0000
0.0000 9.6331 0.0000
0.0000 0.0000 9.6331
Nd Co Sn
6 8 26
Cartesian
0.0000 2.4083 4.8166
0.0000 7.2248 4.8166
2.4083 4.8166 0.0000
4.8166 0.0000 2.4083
4.8166 0.0000 7.2248
7.2248 4.8166 0.0000
2.4083 2.4083 2.4083
2.4083 2.4083 7.2248
2.4083 7.2248 2.4083
2.4083 7.2248 7.2248
7.2248 2.4083 2.4083
7.2248 2.4083 7.2248
7.2248 7.2248 2.4083
7.2248 7.2248 7.2248
0.0000 0.0000 0.0000
0.0000 2.9124 1.5186
0.0000 2.9124 8.1145
0.0000 6.7207 1.5186
0.0000 6.7207 8.1145
1.5186 0.0000 2.9124
1.5186 0.0000 6.7207
1.9041 4.8166 3.2979
1.9041 4.8166 6.3352
2.9124 1.5186 0.0000
2.9124 8.1145 0.0000
3.2979 1.9041 4.8166
3.2979 7.7290 4.8166
4.8166 3.2979 1.9041
4.8166 3.2979 7.7290
4.8166 4.8166 4.8166
4.8166 6.3352 1.9041
4.8166 6.3352 7.7290
6.3352 1.9041 4.8166
6.3352 7.7290 4.8166
6.7207 1.5186 0.0000
6.7207 8.1145 0.0000
7.7290 4.8166 3.2979
7.7290 4.8166 6.3352
8.1145 0.0000 2.9124
8.1145 0.0000 6.7207
```

---

No. 7
For Co5Ni7, a cell relaxed with GGA-PBE gives the simulated XRD peak list in this record (Cu Kα (weighted mean of Kα1 and Kα2)).
Neutral-atom scattering factors, no anomalous dispersion.

Most intense lines, 5° ≤ 2θ ≤ 70°, by intensity:
| two_theta | I_rel |
| --- | --- |
| 46.5 | 100 |
| 47.4 | 71 |
| 42.9 | 60 |
| 39.3 | 31 |
| 49.4 | 23 |
| 48.5 | 19 |
| 48.9 | 18 |
| 46.1 | 17 |

Structural model:
```
Co5Ni7
1.0
4.5858 0.0000 0.0000
-2.2929 3.9714 0.0000
0.0000 0.0000 14.9031
Co Ni
10 14
Cartesian
0.0000 1.2807 3.7258
-1.1838 3.3310 3.7258
1.1091 0.6403 11.1773
0.0000 2.6476 9.8476
0.0000 2.6476 12.5071
2.2929 1.3238 2.3960
2.2929 1.3238 5.0555
1.1838 3.3310 3.7258
3.4767 0.6403 11.1773
2.2929 2.6907 11.1773
0.0000 0.0000 1.3833
0.0000 0.0000 6.0683
0.0000 0.0000 8.8348
0.0000 0.0000 13.5198
-1.1464 1.9857 0.0000
-1.1464 1.9857 7.4515
0.0000 2.6476 1.8848
0.0000 2.6476 5.5668
2.2929 0.0000 0.0000
2.2929 0.0000 7.4515
1.1464 1.9857 0.0000
1.1464 1.9857 7.4515
2.2929 1.3238 9.3363
2.2929 1.3238 13.0183
```

---

No. 8
For Co5Ni, a cell relaxed with GGA-PBE gives the simulated XRD peak list in this record (Cu Kα (weighted mean of Kα1 and Kα2)).
Neutral-atom scattering factors, no anomalous dispersion.

Most intense lines, 5° ≤ 2θ ≤ 70°, by intensity:
| two_theta | I_rel |
| --- | --- |
| 46.4 | 100 |
| 47.3 | 70 |
| 43.0 | 60 |
| 39.2 | 31 |
| 49.3 | 20 |
| 46.0 | 18 |
| 49.0 | 18 |
| 48.5 | 15 |

Structural model:
```
Co5Ni
1.0
4.5965 0.0000 0.0000
-2.2982 3.9807 0.0000
0.0000 0.0000 14.8855
Co Ni
20 4
Cartesian
0.0000 0.0000 1.3105
0.0000 0.0000 6.1322
0.0000 0.0000 8.7532
0.0000 0.0000 13.5750
-1.1491 1.9903 0.0000
-1.1491 1.9903 7.4427
0.0000 1.2784 3.7214
-1.1911 3.3414 3.7214
1.1072 0.6392 11.1641
0.0000 2.6538 1.8975
0.0000 2.6538 5.5453
2.2982 0.0000 0.0000
2.2982 0.0000 7.4427
1.1491 1.9903 0.0000
1.1491 1.9903 7.4427
2.2982 1.3269 9.3402
2.2982 1.3269 12.9880
1.1911 3.3414 3.7214
3.4893 0.6392 11.1641
2.2982 2.7022 11.1641
0.0000 2.6538 9.7438
0.0000 2.6538 12.5843
2.2982 1.3269 2.3011
2.2982 1.3269 5.1416
```